Structure and computed powder diffraction line list of LiRh2WO6 (a GGA+U-relaxed structure; Cu Kα).
Neutral-atom scattering factors, no anomalous dispersion.

Cell and atoms:
```
LiRh2WO6
1.0
5.8142 0.0000 0.0000
0.0000 5.8142 0.0000
0.0000 0.0000 3.9978
Li Rh W O
1 2 1 6
direct
0.0000 0.0000 0.0000
0.0000 0.5000 0.1499
0.5000 0.0000 0.1499
0.5000 0.5000 0.9862
0.0000 0.0000 0.5034
0.2656 0.2656 0.0690
0.2656 0.7344 0.0690
0.5000 0.5000 0.5374
0.7344 0.2656 0.0690
0.7344 0.7344 0.0690
```

Main lines, most intense first (2θ from 10° to 80°):
Position (°2θ), I/Imax, h k l
15.24, 100, 1 0 0
22.24, 96, 0 0 1
30.76, 76, 2 0 0
27.07, 52, 1 0 1
44.05, 50, 2 2 0
49.88, 41, 2 2 1
31.21, 41, 1 1 1
38.28, 40, 2 0 1